1.
Theoretical powder XRD pattern
Compound: NbCo3O8
Radiation: Cu Ka
Structure: a structure optimized by DFT (GGA+U)
No peak broadening, texture or thermal motion is included.

a = 5.685 Å, b = 5.685 Å, c = 9.242 Å
α = 90.20°, β = 90.20°, γ = 119.54°
Fractional positions:
Nb 0.166 0.834 0.500
Nb 0.834 0.166 0.000
Co 0.170 0.338 0.716
Co 0.338 0.170 0.216
Co 0.339 0.675 0.217
Co 0.675 0.339 0.717
Co 0.676 0.846 0.716
Co 0.846 0.676 0.216
O 0.031 0.544 0.333
O 0.032 0.995 0.329
O 0.176 0.836 0.113
O 0.182 0.342 0.103
O 0.341 0.669 0.604
O 0.342 0.182 0.603
O 0.475 0.992 0.329
O 0.506 0.511 0.313
O 0.511 0.506 0.813
O 0.544 0.031 0.833
O 0.669 0.341 0.104
O 0.671 0.834 0.101
O 0.834 0.671 0.601
O 0.836 0.176 0.613
O 0.992 0.475 0.829
O 0.995 0.032 0.829

Main lines, most intense first (10° ≤ 2θ ≤ 90°):
d_spacing, 2θ (°), Rel. int.
4.344, 20.44, 100
4.621, 19.21, 52
4.372, 20.31, 47
2.609, 34.37, 38
2.425, 37.07, 35
1.922, 47.30, 34
1.477, 62.95, 33
3.366, 26.48, 32
1.421, 65.70, 27
2.417, 37.19, 24



2.
Theoretical powder XRD pattern
Compound: Sr2MgZrCrO6
Radiation: Cu Ka
Structure: a structure optimized by DFT (GGA+U)
No peak broadening, texture or thermal motion is included.

a = 5.446 Å, b = 5.673 Å, c = 6.377 Å
α = 116.08°, β = 109.81°, γ = 90.22°
Fractional positions:
Sr 0.000 0.000 0.000
Sr 0.374 0.427 0.855
Mg 0.690 0.736 0.421
Zr 0.193 0.735 0.433
Cr 0.689 0.233 0.433
O 0.394 0.900 0.270
O 0.396 0.414 0.287
O 0.530 0.932 0.751
O 0.842 0.615 0.122
O 0.980 0.562 0.582
O 0.982 0.061 0.594

Main lines, most intense first (10° ≤ 2θ ≤ 90°):
d_spacing, 2θ (°), Rel. int.
3.270, 27.28, 100
3.035, 29.43, 75
3.052, 29.26, 75
2.835, 31.56, 74
2.709, 33.07, 36
1.963, 46.24, 30
1.955, 46.46, 29
2.104, 42.98, 29
2.650, 33.82, 28
5.032, 17.62, 23